Entry 1:
Calculated XRD peak list of AcHgP2S8 for Cu Kα X-rays, from a structure optimized by DFT (PBE).
Neutral-atom scattering factors, no anomalous dispersion.

Largest 8 diffraction maxima, most intense first, 10° ≤ 2θ ≤ 90°:
d 5.594, 15.84°, intensity 100; d 3.594, 24.77°, intensity 61; d 2.660, 33.69°, intensity 52; d 2.402, 37.44°, intensity 41; d 3.230, 27.62°, intensity 41; d 1.928, 47.15°, intensity 27; d 2.162, 41.77°, intensity 21; d 1.897, 47.94°, intensity 16

Cell and atoms:
Cell: 6.460 6.460 9.379 Å, 90.00 90.00 120.00°
Fractional coordinates of all 12 atoms:
Ac  0.000  0.000  0.000
Hg  0.000  0.000  0.500
P  0.333  0.667  0.200
P  0.667  0.333  0.800
S  0.159  0.319  0.269
S  0.159  0.841  0.269
S  0.319  0.159  0.731
S  0.333  0.667  0.985
S  0.667  0.333  0.015
S  0.681  0.841  0.269
S  0.841  0.159  0.731
S  0.841  0.681  0.731



Entry 2:
Calculated XRD peak list of Ac2Hg10Pb for Cu Kα X-rays, from a structure optimized by DFT (PBE).
Neutral-atom scattering factors, no anomalous dispersion.

Largest 8 diffraction maxima, most intense first, 10° ≤ 2θ ≤ 90°:
d 2.574, 34.85°, intensity 100; d 5.872, 15.09°, intensity 68; d 2.671, 33.55°, intensity 66; d 2.587, 34.67°, intensity 56; d 2.723, 32.90°, intensity 41; d 2.365, 38.04°, intensity 37; d 1.619, 56.89°, intensity 36; d 2.882, 31.03°, intensity 34

Cell and atoms:
Cell: 11.776 12.732 5.872 Å, 90.00 90.00 90.00°
Fractional coordinates of all 26 atoms:
Ac  0.115  0.170  0.000
Ac  0.385  0.670  0.000
Ac  0.615  0.330  0.000
Ac  0.885  0.830  0.000
Hg  0.028  0.886  0.500
Hg  0.117  0.695  0.242
Hg  0.117  0.695  0.758
Hg  0.172  0.311  0.500
Hg  0.226  0.031  0.500
Hg  0.274  0.531  0.500
Hg  0.328  0.811  0.500
Hg  0.383  0.195  0.242
Hg  0.383  0.195  0.758
Hg  0.472  0.386  0.500
Hg  0.528  0.614  0.500
Hg  0.617  0.805  0.242
Hg  0.617  0.805  0.758
Hg  0.672  0.189  0.500
Hg  0.726  0.469  0.500
Hg  0.774  0.969  0.500
Hg  0.828  0.689  0.500
Hg  0.883  0.305  0.242
Hg  0.883  0.305  0.758
Hg  0.972  0.114  0.500
Pb  0.000  0.500  0.500
Pb  0.500  0.000  0.500



Entry 3:
Calculated XRD peak list of AcHg4Pb3 for Cu Kα X-rays, from a structure optimized by DFT (PBE).
Neutral-atom scattering factors, no anomalous dispersion.

Largest 8 diffraction maxima, most intense first, 10° ≤ 2θ ≤ 90°:
d 2.766, 32.36°, intensity 100; d 2.708, 33.08°, intensity 98; d 1.574, 58.64°, intensity 38; d 1.935, 46.95°, intensity 36; d 1.563, 59.09°, intensity 19; d 1.609, 57.26°, intensity 18; d 1.216, 78.68°, intensity 17; d 1.232, 77.49°, intensity 16

Cell and atoms:
Cell: 9.656 9.656 9.656 Å, 32.57 32.57 32.57°
Fractional coordinates of all 8 atoms:
Ac  0.000  0.000  0.000
Hg  0.126  0.126  0.126
Hg  0.380  0.380  0.380
Hg  0.620  0.620  0.620
Hg  0.874  0.874  0.874
Pb  0.245  0.245  0.245
Pb  0.500  0.500  0.500
Pb  0.755  0.755  0.755



Entry 4:
Calculated XRD peak list of Ac2HgPb2 for Cu Kα X-rays, from a structure optimized by DFT (PBE).
Neutral-atom scattering factors, no anomalous dispersion.

Largest 8 diffraction maxima, most intense first, 10° ≤ 2θ ≤ 90°:
d 3.104, 28.76°, intensity 100; d 2.687, 33.34°, intensity 91; d 2.477, 36.26°, intensity 72; d 3.237, 27.56°, intensity 55; d 3.121, 28.60°, intensity 48; d 2.831, 31.60°, intensity 47; d 3.193, 27.94°, intensity 34; d 1.687, 54.38°, intensity 27

Cell and atoms:
Cell: 6.754 6.754 12.025 Å, 112.96 112.96 43.04°
Fractional coordinates of all 10 atoms:
Ac  0.001  0.001  0.327
Ac  0.181  0.181  0.110
Ac  0.819  0.819  0.890
Ac  0.999  0.999  0.673
Hg  0.293  0.293  0.678
Hg  0.707  0.707  0.322
Pb  0.350  0.350  0.441
Pb  0.452  0.452  0.106
Pb  0.548  0.548  0.894
Pb  0.650  0.650  0.559



Entry 5:
Calculated XRD peak list of Ac5Hg2Pb2 for Cu Kα X-rays, from a structure optimized by DFT (PBE).
Neutral-atom scattering factors, no anomalous dispersion.

Largest 8 diffraction maxima, most intense first, 10° ≤ 2θ ≤ 90°:
d 2.827, 31.65°, intensity 100; d 3.100, 28.80°, intensity 68; d 3.570, 24.94°, intensity 44; d 2.783, 32.16°, intensity 39; d 3.404, 26.18°, intensity 36; d 2.454, 36.62°, intensity 32; d 3.475, 25.63°, intensity 29; d 2.490, 36.07°, intensity 29

Cell and atoms:
Cell: 11.390 11.390 11.390 Å, 64.36 131.03 140.92°
Fractional coordinates of all 18 atoms:
Ac  0.154  0.431  0.031
Ac  0.154  0.623  0.223
Ac  0.201  0.046  0.247
Ac  0.201  0.454  0.655
Ac  0.400  0.123  0.969
Ac  0.400  0.931  0.777
Ac  0.448  0.383  0.565
Ac  0.799  0.546  0.345
Ac  0.799  0.954  0.753
Ac  0.818  0.883  0.435
Hg  0.331  0.331  0.000
Hg  0.331  0.831  0.500
Hg  0.829  0.162  0.167
Hg  0.995  0.662  0.833
Pb  0.653  0.105  0.362
Pb  0.653  0.791  0.048
Pb  0.743  0.291  0.638
Pb  0.743  0.605  0.952



Entry 6:
Calculated XRD peak list of Ac6HgPb6 for Cu Kα X-rays, from a structure optimized by DFT (PBE).
Neutral-atom scattering factors, no anomalous dispersion.

Largest 8 diffraction maxima, most intense first, 10° ≤ 2θ ≤ 90°:
d 2.679, 33.44°, intensity 100; d 2.985, 29.93°, intensity 53; d 3.037, 29.41°, intensity 43; d 3.507, 25.40°, intensity 38; d 2.845, 31.45°, intensity 35; d 1.754, 52.16°, intensity 34; d 1.493, 62.19°, intensity 31; d 1.668, 55.05°, intensity 21

Cell and atoms:
Cell: 7.014 7.014 11.379 Å, 90.00 90.00 120.00°
Fractional coordinates of all 13 atoms:
Ac  0.000  0.000  0.197
Ac  0.000  0.000  0.803
Ac  0.333  0.667  0.000
Ac  0.333  0.667  0.500
Ac  0.667  0.333  0.000
Ac  0.667  0.333  0.500
Hg  0.000  0.000  0.500
Pb  0.000  0.500  0.252
Pb  0.000  0.500  0.748
Pb  0.500  0.000  0.252
Pb  0.500  0.000  0.748
Pb  0.500  0.500  0.252
Pb  0.500  0.500  0.748



Entry 7:
Calculated XRD peak list of Ac2Hg6Pb for Cu Kα X-rays, from a structure optimized by DFT (PBE).
Neutral-atom scattering factors, no anomalous dispersion.

Largest 8 diffraction maxima, most intense first, 10° ≤ 2θ ≤ 90°:
d 2.708, 33.07°, intensity 100; d 2.750, 32.57°, intensity 36; d 3.032, 29.46°, intensity 27; d 1.740, 52.61°, intensity 24; d 2.157, 41.88°, intensity 24; d 1.528, 60.61°, intensity 19; d 3.013, 29.65°, intensity 14; d 1.910, 47.60°, intensity 13

Cell and atoms:
Cell: 6.959 6.959 6.180 Å, 90.00 90.00 120.00°
Fractional coordinates of all 9 atoms:
Ac  0.333  0.667  0.181
Ac  0.667  0.333  0.819
Hg  0.185  0.369  0.668
Hg  0.185  0.815  0.668
Hg  0.369  0.185  0.332
Hg  0.631  0.815  0.668
Hg  0.815  0.185  0.332
Hg  0.815  0.631  0.332
Pb  0.000  0.000  0.000



Entry 8:
Calculated XRD peak list of Ac3Hg9Pb2 for Cu Kα X-rays, from a structure optimized by DFT (PBE).
Neutral-atom scattering factors, no anomalous dispersion.

Largest 8 diffraction maxima, most intense first, 10° ≤ 2θ ≤ 90°:
d 2.945, 30.35°, intensity 100; d 2.523, 35.58°, intensity 50; d 2.715, 32.99°, intensity 36; d 2.869, 31.18°, intensity 28; d 2.457, 36.57°, intensity 28; d 1.575, 58.62°, intensity 27; d 2.341, 38.45°, intensity 26; d 2.921, 30.61°, intensity 23

Cell and atoms:
Cell: 9.461 9.461 5.046 Å, 105.38 105.38 69.20°
Fractional coordinates of all 14 atoms:
Ac  0.000  0.000  0.000
Ac  0.294  0.294  0.293
Ac  0.706  0.706  0.707
Hg  0.022  0.287  0.655
Hg  0.129  0.572  0.850
Hg  0.287  0.022  0.655
Hg  0.428  0.871  0.150
Hg  0.500  0.500  0.000
Hg  0.572  0.129  0.850
Hg  0.713  0.978  0.345
Hg  0.871  0.428  0.150
Hg  0.978  0.713  0.345
Pb  0.318  0.682  0.500
Pb  0.682  0.318  0.500



Entry 9:
Calculated XRD peak list of AcHg6Pb for Cu Kα X-rays, from a structure optimized by DFT (PBE).
Neutral-atom scattering factors, no anomalous dispersion.

Largest 8 diffraction maxima, most intense first, 10° ≤ 2θ ≤ 90°:
d 2.601, 34.48°, intensity 100; d 2.682, 33.42°, intensity 61; d 2.609, 34.37°, intensity 36; d 3.000, 29.78°, intensity 30; d 1.470, 63.25°, intensity 21; d 1.442, 64.65°, intensity 20; d 1.780, 51.34°, intensity 20; d 1.505, 61.64°, intensity 19

Cell and atoms:
Cell: 5.218 6.840 12.504 Å, 90.00 90.00 90.00°
Fractional coordinates of all 16 atoms:
Ac  0.000  0.000  0.000
Ac  0.000  0.500  0.500
Hg  0.000  0.000  0.474
Hg  0.000  0.247  0.248
Hg  0.000  0.253  0.748
Hg  0.000  0.500  0.974
Hg  0.000  0.747  0.748
Hg  0.000  0.753  0.248
Hg  0.500  0.000  0.171
Hg  0.500  0.248  0.897
Hg  0.500  0.252  0.397
Hg  0.500  0.500  0.671
Hg  0.500  0.748  0.397
Hg  0.500  0.752  0.897
Pb  0.500  0.000  0.641
Pb  0.500  0.500  0.141



Entry 10:
Calculated XRD peak list of AcHg2Pd2Pb for Cu Kα X-rays, from a structure optimized by DFT (PBE).
Neutral-atom scattering factors, no anomalous dispersion.

Largest 8 diffraction maxima, most intense first, 10° ≤ 2θ ≤ 90°:
d 3.163, 28.21°, intensity 100; d 2.712, 33.03°, intensity 99; d 1.947, 46.66°, intensity 76; d 2.796, 32.01°, intensity 54; d 1.581, 58.35°, intensity 39; d 1.918, 47.41°, intensity 37; d 1.640, 56.09°, intensity 31; d 1.113, 87.71°, intensity 27

Cell and atoms:
Cell: 5.424 5.424 11.185 Å, 90.00 90.00 90.00°
Fractional coordinates of all 12 atoms:
Ac  0.000  0.000  0.000
Ac  0.500  0.500  0.500
Hg  0.000  0.500  0.250
Hg  0.000  0.500  0.750
Hg  0.500  0.000  0.250
Hg  0.500  0.000  0.750
Pd  0.000  0.000  0.256
Pd  0.000  0.000  0.744
Pd  0.500  0.500  0.244
Pd  0.500  0.500  0.756
Pb  0.000  0.000  0.500
Pb  0.500  0.500  0.000



Entry 11:
Calculated XRD peak list of Ac2HgPbSe5 for Cu Kα X-rays, from a structure optimized by DFT (PBE).
Neutral-atom scattering factors, no anomalous dispersion.

Largest 8 diffraction maxima, most intense first, 10° ≤ 2θ ≤ 90°:
d 3.043, 29.35°, intensity 100; d 3.571, 24.94°, intensity 74; d 2.997, 29.81°, intensity 61; d 2.592, 34.61°, intensity 47; d 2.192, 41.18°, intensity 37; d 2.369, 37.99°, intensity 36; d 3.930, 22.62°, intensity 36; d 1.769, 51.66°, intensity 27

Cell and atoms:
Cell: 9.496 9.496 13.028 Å, 90.00 90.00 153.30°
Fractional coordinates of all 18 atoms:
Ac  0.121  0.879  0.500
Ac  0.132  0.868  0.116
Ac  0.868  0.132  0.616
Ac  0.879  0.121  0.000
Hg  0.469  0.531  0.281
Hg  0.531  0.469  0.781
Pb  0.199  0.801  0.815
Pb  0.801  0.199  0.315
Se  0.039  0.961  0.894
Se  0.293  0.707  0.479
Se  0.307  0.693  0.147
Se  0.359  0.641  0.811
Se  0.498  0.502  0.586
Se  0.502  0.498  0.086
Se  0.641  0.359  0.311
Se  0.693  0.307  0.647
Se  0.707  0.293  0.979
Se  0.961  0.039  0.394



Entry 12:
Calculated XRD peak list of Ac2Hg3Pd4 for Cu Kα X-rays, from a structure optimized by DFT (PBE).
Neutral-atom scattering factors, no anomalous dispersion.

Largest 8 diffraction maxima, most intense first, 10° ≤ 2θ ≤ 90°:
d 2.382, 37.77°, intensity 100; d 2.837, 31.54°, intensity 83; d 2.488, 36.10°, intensity 71; d 2.854, 31.34°, intensity 40; d 2.677, 33.47°, intensity 40; d 2.347, 38.36°, intensity 38; d 3.559, 25.02°, intensity 30; d 1.428, 65.32°, intensity 25

Cell and atoms:
Cell: 9.328 9.328 7.779 Å, 90.00 90.00 142.31°
Fractional coordinates of all 18 atoms:
Ac  0.110  0.890  0.922
Ac  0.390  0.610  0.422
Ac  0.610  0.390  0.578
Ac  0.890  0.110  0.078
Hg  0.000  0.000  0.500
Hg  0.016  0.484  0.750
Hg  0.484  0.016  0.250
Hg  0.500  0.500  0.000
Hg  0.516  0.984  0.750
Hg  0.984  0.516  0.250
Pd  0.162  0.838  0.522
Pd  0.178  0.322  0.750
Pd  0.322  0.178  0.250
Pd  0.338  0.662  0.022
Pd  0.662  0.338  0.978
Pd  0.678  0.822  0.750
Pd  0.822  0.678  0.250
Pd  0.838  0.162  0.478



Entry 13:
Calculated XRD peak list of Ac3Hg2Pd4 for Cu Kα X-rays, from a structure optimized by DFT (PBE).
Neutral-atom scattering factors, no anomalous dispersion.

Largest 8 diffraction maxima, most intense first, 10° ≤ 2θ ≤ 90°:
d 2.805, 31.90°, intensity 100; d 3.184, 28.02°, intensity 72; d 2.505, 35.85°, intensity 67; d 2.267, 39.77°, intensity 50; d 2.818, 31.76°, intensity 38; d 3.462, 25.73°, intensity 27; d 2.370, 37.97°, intensity 24; d 1.766, 51.76°, intensity 23

Cell and atoms:
Cell: 5.826 5.826 9.582 Å, 93.28 93.28 45.79°
Fractional coordinates of all 9 atoms:
Ac  0.000  0.000  0.000
Ac  0.372  0.372  0.622
Ac  0.628  0.628  0.378
Hg  0.327  0.327  0.220
Hg  0.673  0.673  0.780
Pd  0.078  0.078  0.622
Pd  0.289  0.289  0.920
Pd  0.711  0.711  0.080
Pd  0.922  0.922  0.378